The following is a theoretical powder X-ray diffraction pattern of Er2Zn3Au. It was derived from a crystal structure in Alexandria, relaxed with PBE, using Cu Kα.
Lines closer than 0.1° are merged.

Crystal structure
a b c (Å): 3.4879 4.4439 7.8207
angles (deg): 90.00 90.00 90.00
Sites, in units of the cell vectors:
Er 0.0000 0.0000 0.0000
Er 0.0000 0.5000 0.4913
Zn 0.5000 0.0000 0.6714
Zn 0.5000 0.5000 0.1503
Zn 0.5000 0.5000 0.8263
Au 0.5000 0.0000 0.3320

Peak list (10 most intense, 10 to 90 degrees two-theta, in order of rising 2θ)
index  two_theta  Rel. int.
0 0 1  11.31  17
1 0 2  34.45  51
1 1 1  34.65  100
0 1 3  40.11  66
0 2 0  40.60  29
2 0 0  52.47  14
1 0 4  53.75  15
1 2 2  54.28  28
2 1 3  68.03  25
1 2 4  69.48  14